Lu20Os5I24: calculated PXRD pattern (Cu Kα), based on a cell relaxed with GGA-PBE.
Neutral-atom scattering factors, no anomalous dispersion.

a b c (Å): 12.411 13.138 14.701
angles (deg): 101.08 108.48 109.85
Sites, in units of the cell vectors:
Lu 0.000 0.028 0.201
Lu 0.000 0.972 0.799
Lu 0.011 0.784 0.921
Lu 0.144 0.324 0.350
Lu 0.219 0.193 0.018
Lu 0.230 0.004 0.140
Lu 0.299 0.441 0.220
Lu 0.313 0.173 0.392
Lu 0.380 0.608 0.470
Lu 0.389 0.416 0.592
Lu 0.468 0.290 0.262
Lu 0.532 0.710 0.738
Lu 0.611 0.584 0.408
Lu 0.620 0.392 0.530
Lu 0.687 0.827 0.608
Lu 0.701 0.559 0.780
Lu 0.770 0.996 0.860
Lu 0.781 0.807 0.982
Lu 0.856 0.676 0.650
Lu 0.989 0.216 0.079
Os 0.000 0.000 0.000
Os 0.208 0.209 0.208
Os 0.404 0.405 0.404
Os 0.596 0.595 0.596
Os 0.792 0.791 0.792
I 0.108 0.520 0.271
I 0.122 0.174 0.488
I 0.133 0.388 0.991
I 0.147 0.822 0.775
I 0.160 0.906 0.303
I 0.206 0.531 0.581
I 0.226 0.170 0.810
I 0.249 0.782 0.063
I 0.439 0.118 0.067
I 0.459 0.869 0.623
I 0.477 0.524 0.843
I 0.492 0.748 0.348
I 0.508 0.252 0.652
I 0.523 0.476 0.157
I 0.541 0.131 0.377
I 0.561 0.882 0.933
I 0.751 0.218 0.937
I 0.774 0.830 0.190
I 0.794 0.469 0.419
I 0.840 0.094 0.697
I 0.853 0.178 0.225
I 0.867 0.612 0.009
I 0.878 0.826 0.512
I 0.892 0.480 0.729

Largest 8 diffraction maxima, low angle first, 2θ from 10° to 90°:
- 2θ = 23.06°, I 85, (-1 3 1)
- 2θ = 24.86°, I 84, (1 0 -4)
- 2θ = 29.11°, I 77, (1 1 3)
- 2θ = 31.07°, I 94, (3 2 -2)
- 2θ = 34.58°, I 96, (1 2 3)
- 2θ = 36.27°, I 100, (3 2 -5)
- 2θ = 36.81°, I 93, (3 3 -3)
- 2θ = 38.79°, I 70, (5 0 -2)